No. 1
# MgH30C2S2O18
Computed X-ray powder pattern, Cu Ka. Input: a structure optimized by DFT (PBE).
Kinematic intensities with the Lorentz-polarization factor, no thermal factor.

Most intense lines, 5° ≤ 2θ ≤ 70°, in order of rising 2θ:
two_theta	intensity
12.39	17
18.84	45
19.82	46
22.61	100
23.34	18
23.44	21
29.27	27
30.18	15
37.77	20
45.32	12

Cell: 9.4189 9.4189 21.4363 Å, 90.00 90.00 120.00°
Space group R-3 (No. 148, hexagonal axes)
Symmetry-distinct sites (fractional):
Mg 0.0000 0.0000 0.0000
H 0.0125 0.8963 0.3919
H 0.0256 0.2121 0.0941
H 0.0284 0.5376 0.6143
H 0.0441 0.4697 0.1676
H 0.0724 0.4838 0.8698
C 0.0000 0.0000 0.3759
S 0.0000 0.0000 0.2930
O 0.0037 0.4564 0.8319
O 0.0165 0.8583 0.7268
O 0.0322 0.8382 0.9451

***

No. 2
# SrHg
Computed X-ray powder pattern, Cu Ka. Input: a structure optimized by DFT (PBE).
Kinematic intensities with the Lorentz-polarization factor, no thermal factor.

Most intense lines, 5° ≤ 2θ ≤ 70°, in order of rising 2θ:
two_theta	intensity
22.07	17
31.41	100
38.72	6
45.02	19
50.68	8
55.92	40
65.56	12

Cell: 4.028 4.028 4.028 Å, 90.00 90.00 90.00°
Space group Pm-3m (No. 221)
Symmetry-distinct sites (fractional):
Sr 0.000 0.000 0.000
Hg 0.500 0.500 0.500

***

No. 3
# Ho2TiO5
Computed X-ray powder pattern, Cu Ka. Input: a structure optimized by DFT (PBE).
Kinematic intensities with the Lorentz-polarization factor, no thermal factor.

Most intense lines, 5° ≤ 2θ ≤ 70°, in order of rising 2θ:
two_theta	intensity
11.56	28
25.25	25
29.34	77
29.50	100
33.98	38
34.34	15
49.07	59
55.65	16
58.17	22
58.51	15

Cell: 10.445 3.716 11.241 Å, 90.00 90.00 90.00°
Space group Pnma (No. 62)
Symmetry-distinct sites (fractional):
Ho 0.112 0.250 0.224
Ho 0.136 0.250 0.557
Ti 0.178 0.250 0.879
O 0.007 0.750 0.604
O 0.011 0.250 0.841
O 0.226 0.250 0.043
O 0.237 0.750 0.228
O 0.240 0.750 0.883

***

No. 4
# Mg2Cr3GaS8
Computed X-ray powder pattern, Cu Ka. Input: a structure optimized by DFT (PBE).
Kinematic intensities with the Lorentz-polarization factor, no thermal factor.

Most intense lines, 5° ≤ 2θ ≤ 70°, in order of rising 2θ:
two_theta	intensity
14.97	80
24.57	10
28.88	75
35.01	100
46.00	49
50.34	94
52.82	15
59.07	8
62.82	14
65.00	5

Cell: 7.2455 7.2455 17.7809 Å, 90.00 90.00 120.00°
Space group R-3m (No. 166, hexagonal axes)
Symmetry-distinct sites (fractional):
Mg 0.0000 0.0000 0.1245
Cr 0.0000 0.5000 0.0000
Ga 0.0000 0.0000 0.5000
S 0.0000 0.0000 0.2634
S 0.0317 0.5159 0.2562

***

No. 5
# Cs2Ge2S5
Computed X-ray powder pattern, Cu Ka. Input: a structure optimized by DFT (PBE).
Kinematic intensities with the Lorentz-polarization factor, no thermal factor.

Most intense lines, 5° ≤ 2θ ≤ 70°, in order of rising 2θ:
two_theta	intensity
19.16	60
20.50	42
21.99	55
22.67	43
22.84	54
23.79	100
29.21	46
29.42	48
30.09	50
47.60	32

Cell: 16.150 16.265 9.672 Å, 90.00 105.36 90.00°
Space group C2/c (No. 15)
Symmetry-distinct sites (fractional):
Cs 0.134 0.073 0.139
Cs 0.154 0.366 0.370
Ge 0.064 0.205 0.620
Ge 0.102 0.367 0.894
S 0.000 0.122 0.750
S 0.000 0.448 0.750
S 0.040 0.283 0.027
S 0.117 0.130 0.482
S 0.166 0.286 0.760
S 0.198 0.440 0.036

***

No. 6
# Na4ZrInSi2PO12
Computed X-ray powder pattern, Cu Ka. Input: a structure optimized by DFT (PBE).
Kinematic intensities with the Lorentz-polarization factor, no thermal factor.

Most intense lines, 5° ≤ 2θ ≤ 70°, in order of rising 2θ:
two_theta	intensity
13.51	20
19.05	20
19.17	100
27.15	19
30.49	65
30.64	33
33.39	47
33.56	24
45.78	13
45.90	20

Cell: 15.976 9.316 9.266 Å, 90.00 125.27 90.00°
Space group Cc (No. 9)
Symmetry-distinct sites (fractional):
Na 0.000 0.052 0.000
Na 0.184 0.379 0.853
Na 0.361 0.077 0.728
Na 0.431 0.259 0.104
Zr 0.283 0.250 0.264
In 0.083 0.244 0.463
Si 0.179 0.051 0.864
Si 0.329 0.399 0.663
P 0.031 0.398 0.069
O 0.024 0.439 0.534
O 0.028 0.377 0.230
O 0.100 0.043 0.383
O 0.102 0.159 0.700
O 0.130 0.328 0.104
O 0.228 0.332 0.642
O 0.250 0.058 0.334
O 0.263 0.145 0.042
O 0.325 0.368 0.484
O 0.334 0.424 0.181
O 0.424 0.320 0.842
O 0.441 0.180 0.400

***

No. 7
# MgTe4Mo2W2Se2S2
Computed X-ray powder pattern, Cu Ka. Input: a structure optimized by DFT (PBE).
Kinematic intensities with the Lorentz-polarization factor, no thermal factor.

Most intense lines, 5° ≤ 2θ ≤ 70°, in order of rising 2θ:
two_theta	intensity
6.82	20
11.38	100
13.66	18
30.53	51
32.64	12
35.77	80
43.21	46
44.95	16
54.20	28
66.64	13

Cell: 3.385 3.385 38.895 Å, 90.00 90.00 60.00°
Space group P1 (No. 1)
Symmetry-distinct sites (fractional):
Mg 0.000 0.000 0.000
Te 0.661 0.638 0.171
Te 0.661 0.638 0.267
Te 0.994 0.971 0.734
Te 0.994 0.971 0.831
Mo 0.661 0.638 0.783
Mo 0.994 0.971 0.219
W 0.661 0.638 0.407
W 0.994 0.971 0.595
Se 0.661 0.638 0.552
Se 0.661 0.638 0.637
S 0.994 0.971 0.368
S 0.994 0.971 0.446

***

No. 8
# Rb2SnO3
Computed X-ray powder pattern, Cu Ka. Input: a structure optimized by DFT (PBE).
Kinematic intensities with the Lorentz-polarization factor, no thermal factor.

Most intense lines, 5° ≤ 2θ ≤ 70°, in order of rising 2θ:
two_theta	intensity
14.26	27
27.09	49
28.14	98
30.44	44
31.15	100
41.20	51
46.51	28
52.69	17
54.54	19
58.21	38

Cell: 10.978 7.533 5.873 Å, 90.00 90.00 90.00°
Space group Cmc2_1 (No. 36)
Symmetry-distinct sites (fractional):
Rb 0.162 0.144 0.000
Sn 0.000 0.413 0.483
O 0.000 0.154 0.449
O 0.123 0.489 0.738